Starting from a PBE+U-relaxed structure, the XRD peak list of VSO8 was computed for Cu Kα.
Neutral-atom scattering factors, no anomalous dispersion.

Top 10 peaks for 15° ≤ 2θ ≤ 90°, sorted by position:
2θ/deg, intensity
16.17, 77.7
16.39, 41.3
18.58, 100.0
18.78, 77.2
20.02, 88.9
26.27, 33.7
26.43, 82.0
28.75, 54.2
29.19, 38.1
31.44, 29.9

```
data_VSO8
_cell_length_a 7.4226
_cell_length_b 9.7243
_cell_length_c 11.9035
_cell_angle_alpha 90.00
_cell_angle_beta 114.70
_cell_angle_gamma 90.00
_symmetry_space_group_name_H-M 'P 1 21/c 1'
_symmetry_Int_Tables_number 14
loop_
_symmetry_equiv_pos_as_xyz
'x,y,z'
'-x,-y,-z'
'-x,y+1/2,-z+1/2'
'x,-y+1/2,z+1/2'
loop_
_atom_site_label
_atom_site_type_symbol
_atom_site_fract_x
_atom_site_fract_y
_atom_site_fract_z
V1 V 0.2158 0.1172 0.1390
S1 S 0.2503 0.6490 0.4763
O1 O 0.0381 0.6899 0.4623
O2 O 0.1860 0.5118 0.1156
O3 O 0.2052 0.0424 0.2591
O4 O 0.2166 0.0218 0.5273
O5 O 0.2518 0.6319 0.3564
O6 O 0.2850 0.5075 0.5405
O7 O 0.3769 0.2453 0.1913
O8 O 0.3901 0.7483 0.5568
```



Starting from a PBE+U-relaxed structure, the XRD peak list of VSO8 was computed for Cu Kα.
Neutral-atom scattering factors, no anomalous dispersion.

Top 10 peaks for 15° ≤ 2θ ≤ 90°, sorted by position:
2θ/deg, intensity
16.35, 68.3
16.80, 14.6
19.56, 25.8
19.71, 100.0
22.17, 79.5
25.42, 37.7
26.64, 13.4
27.98, 24.9
29.55, 23.4
37.32, 14.9

```
data_VSO8
_cell_length_a 5.8795
_cell_length_b 14.0136
_cell_length_c 9.8284
_cell_angle_alpha 90.00
_cell_angle_beta 125.32
_cell_angle_gamma 90.00
_symmetry_space_group_name_H-M 'P 1 21/c 1'
_symmetry_Int_Tables_number 14
loop_
_symmetry_equiv_pos_as_xyz
'x,y,z'
'-x,-y,-z'
'-x,y+1/2,-z+1/2'
'x,-y+1/2,z+1/2'
loop_
_atom_site_label
_atom_site_type_symbol
_atom_site_fract_x
_atom_site_fract_y
_atom_site_fract_z
V1 V 0.1531 0.1110 0.2705
S1 S 0.4855 0.1002 0.6775
O1 O 0.0874 0.2287 0.2652
O2 O 0.1920 0.5721 0.3469
O3 O 0.2135 0.1283 0.1062
O4 O 0.2660 0.0748 0.4986
O5 O 0.2707 0.5362 0.7561
O6 O 0.3676 0.0930 0.7753
O7 O 0.4282 0.7009 0.8044
O8 O 0.4390 0.6277 0.1343
```



Starting from a PBE+U-relaxed structure, the XRD peak list of VSO5 was computed for Cu Kα.
Neutral-atom scattering factors, no anomalous dispersion.

Top 10 peaks for 15° ≤ 2θ ≤ 90°, sorted by position:
2θ/deg, intensity
17.10, 33.1
18.33, 22.2
22.07, 19.1
24.03, 34.6
27.03, 24.3
27.36, 100.0
27.90, 78.3
30.49, 18.2
39.12, 23.3
57.70, 27.2

```
data_VSO5
_cell_length_a 7.2594
_cell_length_b 6.3950
_cell_length_c 7.4055
_cell_angle_alpha 90.00
_cell_angle_beta 90.00
_cell_angle_gamma 90.00
_symmetry_space_group_name_H-M 'P n m a'
_symmetry_Int_Tables_number 62
loop_
_symmetry_equiv_pos_as_xyz
'x,y,z'
'-x,-y,-z'
'-x+1/2,-y,z+1/2'
'x+1/2,y,-z+1/2'
'x+1/2,-y+1/2,-z+1/2'
'-x+1/2,y+1/2,z+1/2'
'-x,y+1/2,-z'
'x,-y+1/2,z'
loop_
_atom_site_label
_atom_site_type_symbol
_atom_site_fract_x
_atom_site_fract_y
_atom_site_fract_z
V1 V 0.1555 0.2500 0.2337
S1 S 0.1265 0.7500 0.1247
O1 O 0.0474 0.2500 0.9824
O2 O 0.1186 0.7500 0.6843
O3 O 0.1284 0.5662 0.2464
O4 O 0.2092 0.2500 0.5056
```



Starting from a PBE+U-relaxed structure, the XRD peak list of WS2O9 was computed for Cu Kα.
Neutral-atom scattering factors, no anomalous dispersion.

Top 10 peaks for 15° ≤ 2θ ≤ 90°, sorted by position:
2θ/deg, intensity
15.90, 52.4
18.79, 100.0
19.21, 31.1
20.72, 24.1
23.33, 23.1
23.99, 38.2
27.26, 15.2
32.00, 21.4
37.32, 21.0
38.01, 14.8

```
data_WS2O9
_cell_length_a 7.5802
_cell_length_b 12.0303
_cell_length_c 9.1908
_cell_angle_alpha 90.00
_cell_angle_beta 123.94
_cell_angle_gamma 90.00
_symmetry_space_group_name_H-M 'P 1 21/c 1'
_symmetry_Int_Tables_number 14
loop_
_symmetry_equiv_pos_as_xyz
'x,y,z'
'-x,-y,-z'
'-x,y+1/2,-z+1/2'
'x,-y+1/2,z+1/2'
loop_
_atom_site_label
_atom_site_type_symbol
_atom_site_fract_x
_atom_site_fract_y
_atom_site_fract_z
W1 W 0.1678 0.1467 0.2444
S1 S 0.0436 0.6733 0.0895
S2 S 0.3118 0.5263 0.6347
O1 O 0.0267 0.7499 0.2147
O2 O 0.0630 0.0709 0.3908
O3 O 0.1149 0.2142 0.5963
O4 O 0.1486 0.5932 0.4836
O5 O 0.2510 0.6575 0.1293
O6 O 0.2518 0.5200 0.7715
O7 O 0.2706 0.0988 0.0847
O8 O 0.4041 0.1954 0.4210
O9 O 0.4768 0.0621 0.7953
```